Structure and theoretical X-ray diffraction stick pattern of KMnBeO4 (the GGA+U geometry in Alexandria; CuKα).
Lines closer than 0.1° are merged.

Structural model:
Cell: 4.856 5.253 6.766 Å, 90.00 96.74 90.00°
Atoms (fractional coordinates):
K 0.211 0.250 0.076
K 0.789 0.750 0.924
Mn 0.174 0.750 0.461
Mn 0.826 0.250 0.539
Be 0.359 0.250 0.650
Be 0.641 0.750 0.350
O 0.127 0.020 0.666
O 0.127 0.480 0.666
O 0.342 0.750 0.218
O 0.465 0.250 0.432
O 0.535 0.750 0.568
O 0.658 0.250 0.782
O 0.873 0.520 0.334
O 0.873 0.980 0.334

Main lines, sorted by position (5 to 70 degrees two-theta):
- 13.18°, rel. 100, (0 0 1)
- 27.37°, rel. 61, (1 1 -1)
- 29.44°, rel. 54, (1 1 1)
- 31.61°, rel. 21, (0 1 2)
- 34.14°, rel. 35, (0 2 0)
- 40.64°, rel. 19, (1 2 -1)
- 43.75°, rel. 21, (0 2 2)
- 44.85°, rel. 17, (2 1 1)
- 46.00°, rel. 19, (1 1 -3)
- 52.22°, rel. 17, (2 1 2)